(1)
Computed powder XRD pattern
Compound: Y2TiCuO6
Radiation: copper Kα
Structure: a cell relaxed with GGA-PBE

Structure:
Unit cell a=3.6336 b=3.6336 c=11.3410 alpha=90.00 beta=90.00 gamma=120.00
Space group P-6m2 (No. 187)
Asymmetric unit:
Y 0.0000 0.0000 0.2260 [2 per cell]
Ti 0.6667 0.3333 0.5000 [1 per cell]
Cu 0.3333 0.6667 0.0000 [1 per cell]
O 0.0000 0.0000 0.0000 [1 per cell]
O 0.0000 0.0000 0.5000 [1 per cell]
O 0.3333 0.6667 0.1684 [2 per cell]
O 0.6667 0.3333 0.3356 [2 per cell]

Top 10 peaks for 10 to 80 degrees two-theta, sorted by position:
| d_spacing | I_rel | index |
| --- | --- | --- |
| 3.147 | 34 | 1 0 0 |
| 3.032 | 70 | 1 0 1 |
| 2.835 | 39 | 0 0 4 |
| 2.751 | 100 | 1 0 2 |
| 2.419 | 21 | 1 0 3 |
| 2.106 | 27 | 1 0 4 |
| 1.840 | 25 | 1 0 5 |
| 1.817 | 64 | 1 1 0 |
| 1.620 | 19 | 1 0 6 |
| 1.530 | 33 | 1 1 4 |

(2)
Computed powder XRD pattern
Compound: Ti4ZnCu3O12
Radiation: copper Kα
Structure: a cell relaxed with GGA-PBE

Structure:
Unit cell a=7.431 b=7.431 c=7.431 alpha=90.00 beta=90.00 gamma=90.00
Space group Im-3 (No. 204)
Asymmetric unit:
Ti 0.250 0.250 0.250 [8 per cell]
Zn 0.000 0.000 0.000 [2 per cell]
Cu 0.000 0.000 0.500 [6 per cell]
O 0.000 0.177 0.303 [24 per cell]

Top 10 peaks for 10 to 80 degrees two-theta, sorted by position:
| d_spacing | I_rel | index |
| --- | --- | --- |
| 3.715 | 2 | 2 0 0 |
| 2.627 | 100 | 2 2 0 |
| 2.350 | 6 | 3 1 0 |
| 2.145 | 7 | 2 2 2 |
| 1.986 | 4 | 3 2 1 |
| 1.858 | 28 | 4 0 0 |
| 1.517 | 49 | 4 2 2 |
| 1.314 | 13 | 4 4 0 |
| 1.274 | 2 | 5 0 3 |
| 1.238 | 2 | 6 0 0 |

(3)
Computed powder XRD pattern
Compound: TlCu2O2
Radiation: copper Kα
Structure: a cell relaxed with GGA-PBE

Structure:
Unit cell a=5.582 b=6.189 c=9.056 alpha=90.00 beta=90.00 gamma=90.00
Space group Imma (No. 74)
Asymmetric unit:
Tl 0.000 0.250 0.106 [4 per cell]
Cu 0.000 0.000 0.500 [4 per cell]
Cu 0.250 0.250 0.750 [4 per cell]
O 0.000 0.035 0.701 [8 per cell]

Top 10 peaks for 10 to 80 degrees two-theta, sorted by position:
| d_spacing | I_rel | index |
| --- | --- | --- |
| 4.752 | 21 | 1 0 1 |
| 3.057 | 100 | 1 1 2 |
| 2.791 | 27 | 2 0 0 |
| 2.713 | 61 | 0 1 3 |
| 2.593 | 91 | 1 2 1 |
| 2.449 | 48 | 2 1 1 |
| 1.779 | 18 | 1 3 2 |
| 1.723 | 21 | 1 0 5 |
| 1.570 | 19 | 3 2 1 |
| 1.529 | 33 | 2 2 4 |

(4)
Computed powder XRD pattern
Compound: Tm2Cu2O5
Radiation: copper Kα
Structure: a cell relaxed with GGA-PBE

Structure:
Unit cell a=10.818 b=3.459 c=12.434 alpha=90.00 beta=90.00 gamma=90.00
Space group Pna2_1 (No. 33)
Asymmetric unit:
Tm 0.042 0.224 0.000 [4 per cell]
Tm 0.208 0.222 0.328 [4 per cell]
Cu 0.011 0.340 0.718 [4 per cell]
Cu 0.238 0.155 0.611 [4 per cell]
O 0.071 0.276 0.565 [4 per cell]
O 0.078 0.728 0.358 [4 per cell]
O 0.125 0.334 0.164 [4 per cell]
O 0.172 0.724 0.971 [4 per cell]
O 0.179 0.219 0.763 [4 per cell]

Top 10 peaks for 10 to 80 degrees two-theta, sorted by position:
| d_spacing | I_rel | index |
| --- | --- | --- |
| 4.081 | 48 | 2 0 2 |
| 3.290 | 29 | 2 0 3 |
| 2.914 | 30 | 2 1 0 |
| 2.837 | 100 | 2 1 1 |
| 2.695 | 62 | 2 0 4 |
| 2.656 | 58 | 0 1 3 |
| 2.643 | 24 | 4 0 1 |
| 2.016 | 42 | 4 1 2 |
| 1.894 | 31 | 4 1 3 |
| 1.757 | 24 | 4 1 4 |

(5)
Computed powder XRD pattern
Compound: Y2CuO4
Radiation: copper Kα
Structure: a cell relaxed with GGA-PBE

Structure:
Unit cell a=11.914 b=5.513 c=5.510 alpha=90.00 beta=90.00 gamma=90.00
Space group Cmce (No. 64)
Asymmetric unit:
Y 0.154 0.000 0.000 [8 per cell]
Cu 0.000 0.000 0.500 [4 per cell]
O 0.000 0.205 0.205 [8 per cell]
O 0.250 0.242 0.750 [8 per cell]

Top 10 peaks for 10 to 80 degrees two-theta, sorted by position:
| d_spacing | I_rel | index |
| --- | --- | --- |
| 2.782 | 100 | 3 1 1 |
| 2.756 | 29 | 0 2 0 |
| 2.023 | 10 | 4 0 2 |
| 1.986 | 8 | 6 0 0 |
| 1.949 | 27 | 0 2 2 |
| 1.611 | 17 | 6 2 0 |
| 1.596 | 38 | 3 3 1 |
| 1.391 | 9 | 6 2 2 |
| 1.378 | 7 | 0 0 4 |
| 1.235 | 7 | 3 3 3 |

(6)
Computed powder XRD pattern
Compound: YCuO
Radiation: copper Kα
Structure: a cell relaxed with GGA-PBE

Structure:
Unit cell a=3.6135 b=3.6135 c=15.0478 alpha=90.00 beta=90.00 gamma=120.00
Space group R3m (No. 160, hexagonal axes)
Asymmetric unit:
Y 0.0000 0.0000 0.0000 [3 per cell]
Cu 0.0000 0.0000 0.5204 [3 per cell]
O 0.0000 0.0000 0.3853 [3 per cell]

Top 10 peaks for 10 to 80 degrees two-theta, sorted by position:
| d_spacing | I_rel | index |
| --- | --- | --- |
| 5.016 | 8 | 0 0 3 |
| 2.889 | 100 | 0 1 2 |
| 2.508 | 19 | 0 0 6 |
| 2.406 | 44 | 1 0 4 |
| 2.169 | 8 | 0 1 5 |
| 1.807 | 29 | 1 1 0 |
| 1.612 | 15 | 0 1 8 |
| 1.532 | 14 | 2 0 2 |
| 1.466 | 20 | 1 1 6 |
| 1.445 | 9 | 0 2 4 |

(7)
Computed powder XRD pattern
Compound: YCuO2
Radiation: copper Kα
Structure: a cell relaxed with GGA-PBE

Structure:
Unit cell a=3.5629 b=3.5629 c=17.1840 alpha=90.00 beta=90.00 gamma=120.00
Space group R-3m (No. 166, hexagonal axes)
Asymmetric unit:
Y 0.0000 0.0000 0.0000 [3 per cell]
Cu 0.0000 0.0000 0.5000 [3 per cell]
O 0.0000 0.0000 0.3935 [6 per cell]

Top 10 peaks for 10 to 80 degrees two-theta, sorted by position:
| d_spacing | I_rel | index |
| --- | --- | --- |
| 5.728 | 9 | 0 0 3 |
| 2.904 | 100 | 0 1 2 |
| 2.864 | 22 | 0 0 6 |
| 2.506 | 40 | 1 0 4 |
| 1.781 | 29 | 1 1 0 |
| 1.763 | 25 | 0 1 8 |
| 1.518 | 13 | 2 0 2 |
| 1.513 | 19 | 1 1 6 |
| 1.501 | 15 | 1 0 10 |
| 1.452 | 7 | 0 2 4 |

(8)
Computed powder XRD pattern
Compound: YCu2O4
Radiation: copper Kα
Structure: a cell relaxed with GGA-PBE

Structure:
Unit cell a=8.802 b=8.802 c=8.802 alpha=90.00 beta=90.00 gamma=90.00
Space group Fd-3m (No. 227, origin choice 2)
Asymmetric unit:
Y 0.125 0.125 0.125 [8 per cell]
Cu 0.000 0.000 0.500 [16 per cell]
O 0.016 0.016 0.734 [32 per cell]

Top 10 peaks for 10 to 80 degrees two-theta, sorted by position:
| d_spacing | I_rel | index |
| --- | --- | --- |
| 3.112 | 40 | 2 2 0 |
| 2.654 | 100 | 3 1 1 |
| 2.541 | 10 | 2 2 2 |
| 2.200 | 10 | 4 0 0 |
| 1.797 | 14 | 4 2 2 |
| 1.694 | 39 | 5 1 1 |
| 1.556 | 41 | 4 4 0 |
| 1.392 | 5 | 6 2 0 |
| 1.342 | 11 | 5 3 3 |
| 1.327 | 6 | 6 2 2 |